For Sr3V2O6, DFT lattice parameters and positions (GGA+U) gives the calculated XRD peak list in this record (Cu Kα (λ = 1.5418 Å)).
No peak broadening, texture or thermal motion is included.

Crystal structure
```
Sr3V2O6
1.0
-1.977 1.977 10.184
1.977 -1.977 10.184
1.977 1.977 -10.184
Sr V O
3 2 6
Cartesian
0.000 0.000 0.000
0.000 0.000 3.753
0.000 0.000 16.615
0.000 0.000 8.177
0.000 0.000 12.192
1.977 0.000 1.711
0.000 0.000 6.184
1.977 0.000 8.474
0.000 1.977 1.711
0.000 0.000 14.185
0.000 1.977 8.474
```

Principal peaks in the range 2θ = 5–70°, in order of falling intensity:
2θ = 31.5°, rel. 100
2θ = 32.0°, rel. 55
2θ = 45.9°, rel. 37
2θ = 56.7°, rel. 37
2θ = 41.9°, rel. 23
2θ = 55.8°, rel. 15
2θ = 65.8°, rel. 13
2θ = 44.5°, rel. 12
2θ = 66.9°, rel. 11
2θ = 22.9°, rel. 9